# Ag2Hg2I3
Calculated PXRD pattern, λ = 1.5418 Å (Cu Kα). Input: a structure optimized by DFT (PBE).

Cell and atoms:
abc: 7.753 7.753 10.010
angles: 125.54 125.54 35.37
Positions (direct):
Ag 0.165 0.165 0.429
Ag 0.835 0.835 0.571
Hg 0.216 0.216 0.895
Hg 0.784 0.784 0.105
I 0.000 0.000 0.500
I 0.378 0.378 0.766
I 0.622 0.622 0.234

The 10 most intense peaks (2θ = 10–90°), in order of falling intensity:
Position (°2θ)	d_spacing	I (rel.)
33.8	2.651	100
20.9	4.259	87
24.4	3.646	74
37.5	2.401	57
15.1	5.852	38
23.8	3.743	36
38.2	2.355	36
41.1	2.196	34
43.2	2.096	30
45.9	1.978	28